No. 1
# VNi2N3
Calculated PXRD pattern, copper Kα. Input: a DFT-relaxed cell (PBE, the Materials Project).
Neutral-atom scattering factors, no anomalous dispersion.

Most intense lines, 10° ≤ 2θ ≤ 90°, low angle first:
| d_spacing | 2theta | I/Imax |
| --- | --- | --- |
| 3.101 | 28.8 | 38 |
| 2.817 | 31.8 | 89 |
| 2.448 | 36.7 | 67 |
| 2.300 | 39.2 | 100 |
| 1.993 | 45.5 | 55 |
| 1.730 | 52.9 | 58 |
| 1.627 | 56.6 | 29 |
| 1.581 | 58.4 | 20 |
| 1.307 | 72.3 | 40 |
| 1.239 | 77.0 | 15 |

Structure:
```
data_VNi2N3
_space_group_name_H-M_alt 'C m c m'
_space_group_IT_number 63
_space_group_name_Hall '-C 2c 2'
_cell_length_a 9.484
_cell_length_b 6.203
_cell_length_c 3.987
_cell_angle_alpha 90.00
_cell_angle_beta 90.00
_cell_angle_gamma 90.00
loop_
_atom_site_label
_atom_site_fract_x
_atom_site_fract_y
_atom_site_fract_z
V1 0.000 0.185 0.250
Ni1 0.151 0.347 0.750
N1 0.000 0.135 0.750
N2 0.169 0.338 0.250
```

No. 2
# Ta5As4
Calculated PXRD pattern, copper Kα. Input: a DFT-relaxed cell (PBE, the Materials Project).
Neutral-atom scattering factors, no anomalous dispersion.

Most intense lines, 10° ≤ 2θ ≤ 90°, low angle first:
| d_spacing | 2theta | I/Imax |
| --- | --- | --- |
| 6.999 | 12.6 | 59 |
| 2.722 | 32.9 | 39 |
| 2.385 | 37.7 | 100 |
| 2.333 | 38.6 | 31 |
| 2.213 | 40.8 | 38 |
| 2.149 | 42.1 | 19 |
| 1.971 | 46.1 | 27 |
| 1.411 | 66.2 | 16 |
| 1.361 | 69.0 | 16 |
| 1.265 | 75.1 | 17 |

Structure:
```
data_Ta5As4
_space_group_name_H-M_alt 'I 4/m'
_space_group_IT_number 87
_space_group_name_Hall '-I 4'
_cell_length_a 9.898
_cell_length_b 9.898
_cell_length_c 3.452
_cell_angle_alpha 90.00
_cell_angle_beta 90.00
_cell_angle_gamma 90.00
loop_
_atom_site_label
_atom_site_fract_x
_atom_site_fract_y
_atom_site_fract_z
Ta1 0.000 0.000 0.000
Ta2 0.132 0.806 0.500
As1 0.052 0.285 0.000
```

No. 3
# SrCaTbTiO6
Calculated PXRD pattern, copper Kα. Input: a DFT-relaxed cell (PBE, the Materials Project).
Neutral-atom scattering factors, no anomalous dispersion.

Most intense lines, 10° ≤ 2θ ≤ 90°, low angle first:
| d_spacing | 2theta | I/Imax |
| --- | --- | --- |
| 4.800 | 18.5 | 28 |
| 4.157 | 21.4 | 16 |
| 2.940 | 30.4 | 100 |
| 2.507 | 35.8 | 21 |
| 2.079 | 43.5 | 36 |
| 1.907 | 47.7 | 11 |
| 1.697 | 54.0 | 39 |
| 1.470 | 63.3 | 22 |
| 1.315 | 71.8 | 17 |
| 1.111 | 87.9 | 21 |

Structure:
```
data_SrCaTbTiO6
_space_group_name_H-M_alt 'F -4 3 m'
_space_group_IT_number 216
_space_group_name_Hall 'F -4 2 3'
_cell_length_a 8.314
_cell_length_b 8.314
_cell_length_c 8.314
_cell_angle_alpha 90.00
_cell_angle_beta 90.00
_cell_angle_gamma 90.00
loop_
_atom_site_label
_atom_site_fract_x
_atom_site_fract_y
_atom_site_fract_z
Sr1 0.000 0.000 0.000
Ca1 0.000 0.000 0.500
Tb1 0.250 0.250 0.250
Ti1 0.250 0.250 0.750
O1 0.015 0.250 0.750
```

No. 4
# Ba3P3I2
Calculated PXRD pattern, copper Kα. Input: a DFT-relaxed cell (PBE, the Materials Project).
Neutral-atom scattering factors, no anomalous dispersion.

Most intense lines, 10° ≤ 2θ ≤ 90°, low angle first:
| d_spacing | 2theta | I/Imax |
| --- | --- | --- |
| 4.201 | 21.1 | 22 |
| 3.704 | 24.0 | 19 |
| 3.504 | 25.4 | 20 |
| 3.321 | 26.8 | 24 |
| 3.228 | 27.6 | 100 |
| 3.174 | 28.1 | 16 |
| 2.692 | 33.3 | 33 |
| 2.600 | 34.5 | 13 |
| 2.369 | 38.0 | 16 |
| 2.297 | 39.2 | 23 |

Structure:
```
data_Ba3P3I2
_space_group_name_H-M_alt 'P n m a'
_space_group_IT_number 62
_cell_length_a 17.558
_cell_length_b 4.594
_cell_length_c 14.352
_cell_angle_alpha 90.00
_cell_angle_beta 90.00
_cell_angle_gamma 90.00
loop_
_space_group_symop_operation_xyz
'x,y,z'
'-x,-y,-z'
'-x+1/2,-y,z+1/2'
'x+1/2,y,-z+1/2'
'x+1/2,-y+1/2,-z+1/2'
'-x+1/2,y+1/2,z+1/2'
'-x,y+1/2,-z'
'x,-y+1/2,z'
loop_
_atom_site_label
_atom_site_fract_x
_atom_site_fract_y
_atom_site_fract_z
Ba1 0.130 0.250 0.116
Ba2 0.144 0.750 0.458
Ba3 0.160 0.750 0.789
P1 0.211 0.750 0.247
P2 0.214 0.250 0.627
P3 0.225 0.750 0.996
I1 0.009 0.250 0.365
I2 0.030 0.250 0.887
```

No. 5
# MgH4SeO5
Calculated PXRD pattern, copper Kα. Input: a DFT-relaxed cell (PBE, the Materials Project).
Neutral-atom scattering factors, no anomalous dispersion.

Most intense lines, 10° ≤ 2θ ≤ 90°, low angle first:
| d_spacing | 2theta | I/Imax |
| --- | --- | --- |
| 5.832 | 15.2 | 94 |
| 4.618 | 19.2 | 53 |
| 4.586 | 19.4 | 51 |
| 3.874 | 23.0 | 65 |
| 3.528 | 25.2 | 97 |
| 3.207 | 27.8 | 33 |
| 3.036 | 29.4 | 100 |
| 2.788 | 32.1 | 59 |
| 2.714 | 33.0 | 41 |
| 2.427 | 37.0 | 34 |

Structure:
```
data_MgH4SeO5
_space_group_name_H-M_alt 'P 1 21/c 1'
_space_group_IT_number 14
_cell_length_a 6.537
_cell_length_b 8.976
_cell_length_c 9.313
_cell_angle_alpha 90.00
_cell_angle_beta 124.53
_cell_angle_gamma 90.00
loop_
_space_group_symop_operation_xyz
'x,y,z'
'-x,-y,-z'
'-x,y+1/2,-z+1/2'
'x,-y+1/2,z+1/2'
loop_
_atom_site_label
_atom_site_fract_x
_atom_site_fract_y
_atom_site_fract_z
Mg1 0.168 0.139 0.013
H1 0.077 0.138 0.643
H2 0.297 0.076 0.629
H3 0.310 0.513 0.796
H4 0.439 0.146 0.371
Se1 0.234 0.655 0.337
O1 0.086 0.673 0.764
O2 0.129 0.590 0.459
O3 0.158 0.147 0.580
O4 0.413 0.064 0.288
O5 0.466 0.205 0.001
```

No. 6
# TeMo2SeS2
Calculated PXRD pattern, copper Kα. Input: a DFT-relaxed cell (PBE, the Materials Project).
Neutral-atom scattering factors, no anomalous dispersion.

Most intense lines, 10° ≤ 2θ ≤ 90°, low angle first:
| d_spacing | 2theta | I/Imax |
| --- | --- | --- |
| 7.738 | 11.4 | 100 |
| 6.448 | 13.7 | 13 |
| 2.861 | 31.3 | 48 |
| 2.543 | 35.3 | 13 |
| 2.464 | 36.5 | 77 |
| 2.383 | 37.7 | 17 |
| 2.064 | 43.9 | 49 |
| 1.989 | 45.6 | 14 |
| 1.653 | 55.6 | 31 |
| 1.231 | 77.6 | 13 |

Structure:
```
data_TeMo2SeS2
_space_group_name_H-M_alt 'P 3 m 1'
_space_group_IT_number 156
_cell_length_a 3.3071
_cell_length_b 3.3071
_cell_length_c 38.6880
_cell_angle_alpha 90.00
_cell_angle_beta 90.00
_cell_angle_gamma 120.00
loop_
_space_group_symop_operation_xyz
'x,y,z'
'-y,x-y,z'
'-x+y,-x,z'
'-y,-x,z'
'-x+y,y,z'
'x,x-y,z'
loop_
_atom_site_label
_atom_site_fract_x
_atom_site_fract_y
_atom_site_fract_z
Te1 0.0000 0.0000 0.0000
Te2 0.0000 0.0000 0.0989
Mo1 0.0000 0.0000 0.2391
Mo2 0.0000 0.0000 0.8618
Mo3 0.6667 0.3333 0.0495
Mo4 0.6667 0.3333 0.6744
Se1 0.6667 0.3333 0.1957
Se2 0.6667 0.3333 0.2825
S1 0.0000 0.0000 0.6349
S2 0.0000 0.0000 0.7139
S3 0.6667 0.3333 0.8223
S4 0.6667 0.3333 0.9014
```